(1)
Calculated powder X-ray diffraction pattern of Tb2YTm4 for a wavelength of 1.5418 Å, from DFT lattice parameters and positions (GGA-PBE).

Crystal structure
Cell: 3.576 3.576 19.771 Å, 95.18 95.18 60.01°
Atoms (fractional coordinates):
Tb  0.000  0.000  0.000
Tb  0.095  0.095  0.287
Y  0.190  0.190  0.574
Tm  0.286  0.286  0.857
Tm  0.381  0.381  0.143
Tm  0.809  0.809  0.430
Tm  0.905  0.905  0.717

Main lines, most intense first (10 to 90 degrees two-theta):
2theta	I (rel.)
32.66	100
33.41	97
31.86	54
61.48	50
51.08	43
28.87	31
58.25	20
56.78	20

(2)
Calculated powder X-ray diffraction pattern of TbY6Tm4 for a wavelength of 1.5418 Å, from DFT lattice parameters and positions (GGA-PBE).

Crystal structure
Cell: 10.849 10.849 3.531 Å, 90.00 90.00 120.00°
Atoms (fractional coordinates):
Tb  0.000  0.000  0.000
Y  0.183  0.366  0.500
Y  0.183  0.817  0.500
Y  0.521  0.041  0.000
Y  0.521  0.479  0.000
Y  0.634  0.817  0.500
Y  0.959  0.479  0.000
Tm  0.320  0.160  0.500
Tm  0.333  0.667  0.000
Tm  0.840  0.160  0.500
Tm  0.840  0.680  0.500

Main lines, most intense first (10 to 90 degrees two-theta):
2theta	I (rel.)
33.03	100
31.70	69
30.20	38
62.80	31
35.86	31
18.89	30
38.40	26
51.53	23

(3)
Calculated powder X-ray diffraction pattern of Tb8Y6Tm for a wavelength of 1.5418 Å, from DFT lattice parameters and positions (GGA-PBE).

Crystal structure
Cell: 8.631 8.631 8.631 Å, 63.25 63.25 63.25°
Atoms (fractional coordinates):
Tb  0.077  0.077  0.077
Tb  0.220  0.247  0.611
Tb  0.247  0.611  0.220
Tb  0.389  0.780  0.753
Tb  0.611  0.220  0.247
Tb  0.753  0.389  0.780
Tb  0.780  0.753  0.389
Tb  0.923  0.923  0.923
Y  0.040  0.735  0.604
Y  0.265  0.396  0.960
Y  0.396  0.960  0.265
Y  0.604  0.040  0.735
Y  0.735  0.604  0.040
Y  0.960  0.265  0.396
Tm  0.500  0.500  0.500

Main lines, most intense first (10 to 90 degrees two-theta):
2theta	I (rel.)
31.45	100
32.49	30
30.48	20
36.80	15
34.93	12
60.31	12
53.19	11
55.33	8

(4)
Calculated powder X-ray diffraction pattern of Tb3Y7Tm2 for a wavelength of 1.5418 Å, from DFT lattice parameters and positions (GGA-PBE).

Crystal structure
Cell: 6.361 3.539 17.188 Å, 90.00 90.18 90.00°
Atoms (fractional coordinates):
Tb  0.000  0.000  0.000
Tb  0.498  0.500  0.659
Tb  0.502  0.500  0.341
Y  0.176  0.500  0.167
Y  0.255  0.000  0.502
Y  0.324  0.000  0.832
Y  0.500  0.500  0.000
Y  0.676  0.000  0.168
Y  0.745  0.000  0.498
Y  0.824  0.500  0.833
Tm  0.008  0.000  0.326
Tm  0.992  0.000  0.674

Main lines, most intense first (10 to 90 degrees two-theta):
2theta	I (rel.)
32.91	100
32.19	79
31.22	51
28.87	33
62.18	24
50.15	22
56.65	19
15.47	15

(5)
Calculated powder X-ray diffraction pattern of TbY3Tm8 for a wavelength of 1.5418 Å, from DFT lattice parameters and positions (GGA-PBE).

Crystal structure
Cell: 8.524 8.524 8.524 Å, 136.20 98.13 97.86°
Atoms (fractional coordinates):
Tb  0.000  0.000  0.000
Y  0.250  0.750  0.500
Y  0.500  0.500  0.000
Y  0.750  0.250  0.500
Tm  0.081  0.250  0.831
Tm  0.250  0.250  0.499
Tm  0.250  0.750  0.000
Tm  0.419  0.250  0.169
Tm  0.581  0.750  0.831
Tm  0.750  0.250  0.000
Tm  0.750  0.750  0.501
Tm  0.919  0.750  0.169

Main lines, most intense first (10 to 90 degrees two-theta):
2theta	I (rel.)
32.12	100
32.39	88
31.98	79
36.26	71
35.93	53
15.87	39
16.04	35
67.18	32

(6)
Calculated powder X-ray diffraction pattern of Tb6YTm12 for a wavelength of 1.5418 Å, from DFT lattice parameters and positions (GGA-PBE).

Crystal structure
Cell: 8.520 8.520 8.520 Å, 79.82 79.82 79.82°
Atoms (fractional coordinates):
Tb  0.268  0.268  0.663
Tb  0.268  0.663  0.268
Tb  0.337  0.732  0.732
Tb  0.663  0.268  0.268
Tb  0.732  0.337  0.732
Tb  0.732  0.732  0.337
Y  0.500  0.500  0.500
Tm  0.014  0.014  0.696
Tm  0.014  0.364  0.364
Tm  0.014  0.696  0.014
Tm  0.304  0.986  0.986
Tm  0.364  0.014  0.364
Tm  0.364  0.364  0.014
Tm  0.636  0.636  0.986
Tm  0.636  0.986  0.636
Tm  0.696  0.014  0.014
Tm  0.986  0.304  0.986
Tm  0.986  0.636  0.636
Tm  0.986  0.986  0.304

Main lines, most intense first (10 to 90 degrees two-theta):
2theta	I (rel.)
32.40	100
31.26	22
28.28	22
50.06	18
42.65	16
60.21	16
56.35	15
60.90	13

(7)
Calculated powder X-ray diffraction pattern of TbY2Tm12 for a wavelength of 1.5418 Å, from DFT lattice parameters and positions (GGA-PBE).

Crystal structure
Cell: 6.530 6.530 23.994 Å, 92.25 92.25 114.52°
Atoms (fractional coordinates):
Tb  0.250  0.250  0.000
Tb  0.750  0.750  0.000
Y  0.068  0.068  0.272
Y  0.431  0.431  0.728
Y  0.569  0.569  0.272
Y  0.932  0.932  0.728
Tm  0.051  0.551  0.202
Tm  0.084  0.583  0.331
Tm  0.139  0.637  0.554
Tm  0.142  0.142  0.574
Tm  0.214  0.214  0.863
Tm  0.231  0.730  0.925
Tm  0.270  0.769  0.075
Tm  0.286  0.286  0.137
Tm  0.356  0.356  0.427
Tm  0.363  0.861  0.446
Tm  0.417  0.916  0.669
Tm  0.449  0.949  0.798
Tm  0.551  0.051  0.202
Tm  0.583  0.084  0.331
Tm  0.637  0.139  0.554
Tm  0.644  0.644  0.573
Tm  0.714  0.714  0.863
Tm  0.730  0.231  0.925
Tm  0.769  0.270  0.075
Tm  0.786  0.786  0.137
Tm  0.858  0.858  0.426
Tm  0.861  0.363  0.446
Tm  0.916  0.417  0.669
Tm  0.949  0.449  0.798

Main lines, most intense first (10 to 90 degrees two-theta):
2theta	I (rel.)
32.62	100
30.81	61
32.87	58
31.53	44
34.13	34
30.61	30
60.85	26
36.63	26

(8)
Calculated powder X-ray diffraction pattern of Tb10YTm4 for a wavelength of 1.5418 Å, from DFT lattice parameters and positions (GGA-PBE).

Crystal structure
Cell: 9.380 9.380 9.380 Å, 99.59 99.59 131.82°
Atoms (fractional coordinates):
Tb  0.047  0.349  0.899
Tb  0.148  0.047  0.698
Tb  0.250  0.750  0.500
Tb  0.349  0.450  0.302
Tb  0.450  0.148  0.101
Tb  0.550  0.852  0.899
Tb  0.651  0.550  0.698
Tb  0.750  0.250  0.500
Tb  0.852  0.953  0.302
Tb  0.953  0.651  0.101
Y  0.500  0.500  0.000
Tm  0.100  0.700  0.800
Tm  0.300  0.100  0.400
Tm  0.700  0.900  0.600
Tm  0.900  0.300  0.200

Main lines, most intense first (10 to 90 degrees two-theta):
2theta	I (rel.)
33.08	100
59.09	38
20.08	25
47.49	18
79.08	16
23.23	15
39.01	14
69.42	12

(9)
Calculated powder X-ray diffraction pattern of TbY3Tm6 for a wavelength of 1.5418 Å, from DFT lattice parameters and positions (GGA-PBE).

Crystal structure
Cell: 6.823 6.823 6.823 Å, 91.05 91.05 91.05°
Atoms (fractional coordinates):
Tb  0.000  0.000  0.000
Y  0.241  0.241  0.241
Y  0.499  0.499  0.499
Y  0.741  0.741  0.741
Tm  0.030  0.354  0.686
Tm  0.186  0.856  0.531
Tm  0.354  0.686  0.030
Tm  0.531  0.186  0.856
Tm  0.686  0.030  0.354
Tm  0.856  0.531  0.186

Main lines, most intense first (10 to 90 degrees two-theta):
2theta	I (rel.)
31.84	100
29.50	90
55.29	31
43.96	31
57.90	22
56.72	19
74.42	13
66.53	12

(10)
Calculated powder X-ray diffraction pattern of Tb3TmZn2 for a wavelength of 1.5418 Å, from DFT lattice parameters and positions (GGA-PBE).

Crystal structure
Cell: 5.042 9.089 6.699 Å, 90.00 90.00 90.00°
Atoms (fractional coordinates):
Tb  0.000  0.055  0.000
Tb  0.000  0.330  0.342
Tb  0.000  0.670  0.842
Tb  0.000  0.945  0.500
Tb  0.500  0.176  0.683
Tb  0.500  0.824  0.183
Tm  0.500  0.445  0.029
Tm  0.500  0.555  0.529
Zn  0.000  0.349  0.791
Zn  0.000  0.651  0.291
Zn  0.500  0.152  0.237
Zn  0.500  0.848  0.737

Main lines, most intense first (10 to 90 degrees two-theta):
2theta	I (rel.)
33.60	100
34.54	84
35.62	62
29.63	62
32.08	37
33.23	37
61.01	27
32.43	24

(11)
Calculated powder X-ray diffraction pattern of TbTm3Zn4 for a wavelength of 1.5418 Å, from DFT lattice parameters and positions (GGA-PBE).

Crystal structure
Cell: 4.987 4.987 7.118 Å, 90.00 90.00 90.00°
Atoms (fractional coordinates):
Tb  0.000  0.000  0.000
Tm  0.000  0.000  0.500
Tm  0.500  0.500  0.000
Tm  0.500  0.500  0.500
Zn  0.000  0.500  0.255
Zn  0.000  0.500  0.745
Zn  0.500  0.000  0.255
Zn  0.500  0.000  0.745

Main lines, most intense first (10 to 90 degrees two-theta):
2theta	I (rel.)
35.85	100
36.02	49
64.64	35
25.25	19
64.31	18
51.85	17
87.41	16
75.97	11

(12)
Calculated powder X-ray diffraction pattern of Tb4TmZn for a wavelength of 1.5418 Å, from DFT lattice parameters and positions (GGA-PBE).

Crystal structure
Cell: 3.553 3.553 13.653 Å, 90.00 90.00 90.00°
Atoms (fractional coordinates):
Tb  0.000  0.000  0.131
Tb  0.000  0.000  0.869
Tb  0.500  0.500  0.319
Tb  0.500  0.500  0.681
Tm  0.000  0.000  0.500
Zn  0.500  0.500  0.000

Main lines, most intense first (10 to 90 degrees two-theta):
2theta	I (rel.)
31.96	100
35.74	45
61.85	30
28.32	17
51.44	16
60.14	14
49.29	14
54.40	12

(13)
Calculated powder X-ray diffraction pattern of Tb6Tm2Zr for a wavelength of 1.5418 Å, from DFT lattice parameters and positions (GGA-PBE).

Crystal structure
Cell: 3.527 3.527 25.832 Å, 90.00 90.00 120.00°
Atoms (fractional coordinates):
Tb  0.000  0.000  0.067
Tb  0.000  0.000  0.284
Tb  0.000  0.000  0.716
Tb  0.000  0.000  0.933
Tb  0.333  0.667  0.399
Tb  0.333  0.667  0.601
Tm  0.333  0.667  0.175
Tm  0.333  0.667  0.825
Zr  0.000  0.000  0.500

Main lines, most intense first (10 to 90 degrees two-theta):
2theta	I (rel.)
34.10	100
31.13	53
29.24	40
32.43	38
51.85	33
61.74	32
58.44	30
43.26	21